Entry 1:
The following is a calculated powder diffractogram of SnH10Br4O5. It was derived from a crystal structure in Alexandria, relaxed with PBE, using CuKα.
Neutral-atom scattering factors, no anomalous dispersion.

```
data_SnH10Br4O5
_cell_length_a 13.281
_cell_length_b 10.298
_cell_length_c 8.936
_cell_angle_alpha 90.00
_cell_angle_beta 104.72
_cell_angle_gamma 90.00
_symmetry_space_group_name_H-M 'C 1 2/c 1'
_symmetry_Int_Tables_number 15
loop_
_symmetry_equiv_pos_as_xyz
'x,y,z'
'-x,-y,-z'
'-x,y,-z+1/2'
'x,-y,z+1/2'
'x+1/2,y+1/2,z'
'-x+1/2,-y+1/2,-z'
'-x+1/2,y+1/2,-z+1/2'
'x+1/2,-y+1/2,z+1/2'
loop_
_atom_site_label
_atom_site_type_symbol
_atom_site_fract_x
_atom_site_fract_y
_atom_site_fract_z
Sn1 Sn 0.000 0.244 0.250
H1 H 0.028 0.352 0.838
H2 H 0.092 0.181 0.719
H3 H 0.105 0.082 0.503
H4 H 0.108 0.012 0.334
H5 H 0.208 0.138 0.738
Br1 Br 0.112 0.407 0.444
Br2 Br 0.146 0.227 0.104
O1 O 0.000 0.294 0.750
O2 O 0.073 0.076 0.388
O3 O 0.136 0.106 0.703
```

Largest 10 diffraction maxima, most intense first, 2θ from 15° to 90°:
2θ 16.21, intensity 100, hkl 1 1 1; 2θ 29.48, intensity 60, hkl 1 3 1; 2θ 32.76, intensity 52, hkl 2 2 2; 2θ 30.16, intensity 45, hkl 4 0 -2; 2θ 17.22, intensity 39, hkl 0 2 0; 2θ 42.95, intensity 30, hkl 3 1 3; 2θ 45.07, intensity 26, hkl 2 4 2; 2θ 54.47, intensity 23, hkl 2 4 -4; 2θ 33.93, intensity 23, hkl 3 1 -3; 2θ 34.92, intensity 21, hkl 4 2 -2

Entry 2:
The following is a calculated powder diffractogram of SrH2Br2O. It was derived from a crystal structure in Alexandria, relaxed with PBE, using CuKα.
Neutral-atom scattering factors, no anomalous dispersion.

```
data_SrH2Br2O
_cell_length_a 11.528
_cell_length_b 4.324
_cell_length_c 9.463
_cell_angle_alpha 90.00
_cell_angle_beta 90.00
_cell_angle_gamma 90.00
_symmetry_space_group_name_H-M 'P n m a'
_symmetry_Int_Tables_number 62
loop_
_symmetry_equiv_pos_as_xyz
'x,y,z'
'-x,-y,-z'
'-x+1/2,-y,z+1/2'
'x+1/2,y,-z+1/2'
'x+1/2,-y+1/2,-z+1/2'
'-x+1/2,y+1/2,z+1/2'
'-x,y+1/2,-z'
'x,-y+1/2,z'
loop_
_atom_site_label
_atom_site_type_symbol
_atom_site_fract_x
_atom_site_fract_y
_atom_site_fract_z
Sr1 Sr 0.190 0.250 0.106
H1 H 0.103 0.250 0.664
H2 H 0.134 0.250 0.505
Br1 Br 0.103 0.750 0.885
Br2 Br 0.115 0.750 0.335
O1 O 0.170 0.250 0.599
```

Largest 10 diffraction maxima, most intense first, 2θ from 15° to 90°:
2θ 29.03, intensity 100, hkl 1 1 2; 2θ 36.60, intensity 57, hkl 3 1 2; 2θ 29.96, intensity 53, hkl 3 0 2; 2θ 37.50, intensity 27, hkl 4 1 0; 2θ 41.78, intensity 26, hkl 0 2 0; 2θ 52.26, intensity 22, hkl 3 2 2; 2θ 38.04, intensity 21, hkl 0 0 4; 2θ 35.22, intensity 20, hkl 0 1 3; 2θ 31.03, intensity 20, hkl 4 0 0; 2θ 25.76, intensity 18, hkl 2 1 0

Entry 3:
The following is a calculated powder diffractogram of Tl3H4Br3O2. It was derived from a crystal structure in Alexandria, relaxed with PBE, using CuKα.
Neutral-atom scattering factors, no anomalous dispersion.

```
data_Tl3H4Br3O2
_cell_length_a 5.703
_cell_length_b 21.135
_cell_length_c 5.283
_cell_angle_alpha 90.00
_cell_angle_beta 90.00
_cell_angle_gamma 90.00
_symmetry_space_group_name_H-M 'I m m 2'
_symmetry_Int_Tables_number 44
loop_
_symmetry_equiv_pos_as_xyz
'x,y,z'
'-x,-y,z'
'-x,y,z'
'x,-y,z'
'x+1/2,y+1/2,z+1/2'
'-x+1/2,-y+1/2,z+1/2'
'-x+1/2,y+1/2,z+1/2'
'x+1/2,-y+1/2,z+1/2'
loop_
_atom_site_label
_atom_site_type_symbol
_atom_site_fract_x
_atom_site_fract_y
_atom_site_fract_z
Tl1 Tl 0.000 0.000 0.000
Tl2 Tl 0.000 0.367 0.331
H1 H 0.000 0.154 0.163
H2 H 0.000 0.186 0.903
Br1 Br 0.000 0.289 0.822
Br2 Br 0.000 0.500 0.789
O1 O 0.000 0.143 0.983
```

Largest 10 diffraction maxima, most intense first, 2θ from 15° to 90°:
2θ 28.56, intensity 100, hkl 1 4 1; 2θ 20.03, intensity 72, hkl 1 3 0; 2θ 17.30, intensity 44, hkl 0 1 1; 2θ 31.37, intensity 36, hkl 2 0 0; 2θ 37.78, intensity 33, hkl 1 1 2; 2θ 34.21, intensity 26, hkl 0 7 1; 2θ 33.94, intensity 24, hkl 0 8 0; 2θ 47.09, intensity 22, hkl 2 7 1; 2θ 27.02, intensity 22, hkl 0 5 1; 2θ 46.88, intensity 20, hkl 2 8 0